No. 1
CaV2PbO8: simulated PXRD pattern (Cu Kα X-rays), based on a cell relaxed with PBE+U.
Lines closer than 0.1° are merged.

Crystal structure
abc: 5.8743 5.8743 6.4414
angles: 90.00 90.00 120.00
Space group P-3m1 (No. 164)
Symmetry-distinct sites (fractional):
Ca 0.0000 0.0000 0.0000 [1 per cell]
V 0.3333 0.6667 0.3450 [2 per cell]
Pb 0.0000 0.0000 0.5000 [1 per cell]
O 0.1633 0.3266 0.2659 [6 per cell]
O 0.3333 0.6667 0.5969 [2 per cell]

Main lines, by angle (2θ from 10° to 80°):
d 6.441, 13.75°, I = 98.1
d 5.087, 17.43°, I = 100.0
d 3.992, 22.27°, I = 61.7
d 2.937, 30.43°, I = 82.6
d 2.721, 32.91°, I = 67.9
d 2.672, 33.53°, I = 62.3
d 2.170, 41.61°, I = 37.1
d 1.996, 45.44°, I = 42.6

***

No. 2
Ca2V2PbO8: simulated PXRD pattern (Cu Kα X-rays), based on a cell relaxed with PBE+U.
Lines closer than 0.1° are merged.

Crystal structure
abc: 5.7247 5.7247 19.3601
angles: 90.00 90.00 120.00
Space group R3m (No. 160, hexagonal axes)
Symmetry-distinct sites (fractional):
Ca 0.0000 0.0000 0.0000 [3 per cell]
Ca 0.0000 0.0000 0.1942 [3 per cell]
V 0.0000 0.0000 0.5978 [3 per cell]
V 0.0000 0.0000 0.7928 [3 per cell]
Pb 0.0000 0.0000 0.3890 [3 per cell]
O 0.0000 0.0000 0.5104 [3 per cell]
O 0.0000 0.0000 0.8814 [3 per cell]
O 0.0040 0.5020 0.9579 [9 per cell]
O 0.1675 0.3350 0.7627 [9 per cell]

Main lines, by angle (2θ from 10° to 80°):
d 6.453, 13.72°, I = 35.9
d 4.803, 18.47°, I = 52.1
d 4.413, 20.12°, I = 38.1
d 3.052, 29.27°, I = 90.1
d 2.862, 31.25°, I = 100.0
d 2.088, 43.34°, I = 41.8
d 1.803, 50.62°, I = 28.1
d 1.687, 54.39°, I = 32.3